[1]
For LaDyTh2Bi5, DFT lattice parameters and positions (GGA-PBE) gives the calculated powder X-ray diffraction pattern in this record (CuKα).

Structural model:
```
LaDyTh2Bi5
1.0
5.4189 0.0000 0.0000
0.0000 5.4189 0.0000
0.0000 0.0000 11.9801
La Dy Th Bi
1 1 2 5
Cartesian
0.0000 0.0000 0.0000 La
0.0000 0.0000 5.9900 Dy
2.7094 2.7094 3.6143 Th
2.7094 2.7094 8.3658 Th
0.0000 0.0000 3.0246 Bi
0.0000 0.0000 8.9555 Bi
0.0000 2.7094 5.9900 Bi
2.7094 0.0000 5.9900 Bi
2.7094 2.7094 0.0000 Bi
```

Largest 10 diffraction maxima, in order of rising 2θ, 5° ≤ 2θ ≤ 70°:
2θ (°)	d (Å)	I/Imax
7.38	11.980	66
23.21	3.832	69
27.64	3.228	46
27.75	3.215	33
29.83	2.995	43
32.38	2.765	65
33.06	2.709	100
45.12	2.009	57
47.46	1.916	37
57.07	1.614	29

[2]
For CaLa6Zn2, DFT lattice parameters and positions (GGA-PBE) gives the calculated powder X-ray diffraction pattern in this record (CuKα).

Structural model:
```
CaLa6Zn2
1.0
6.6128 -1.8981 0.0000
6.6128 1.8981 0.0000
-4.1006 0.0000 11.6180
Ca La Zn
1 6 2
Cartesian
0.0000 0.0000 0.0000 Ca
-1.0300 0.0000 3.8372 La
3.5199 0.0000 1.4716 La
2.3842 0.0000 4.7177 La
6.7408 0.0000 6.9003 La
5.6050 0.0000 10.1464 La
10.1549 0.0000 7.7808 La
1.4382 0.0000 9.2896 Zn
7.6868 0.0000 2.3284 Zn
```

Largest 10 diffraction maxima, in order of rising 2θ, 5° ≤ 2θ ≤ 70°:
2θ (°)	d (Å)	I/Imax
26.41	3.374	20
30.23	2.956	37
30.78	2.905	13
30.97	2.887	35
31.92	2.803	76
32.12	2.787	100
44.15	2.051	16
47.93	1.898	15
50.03	1.823	15
57.72	1.597	12

[3]
For Hg4Se3, DFT lattice parameters and positions (GGA-PBE) gives the calculated powder X-ray diffraction pattern in this record (CuKα).

Structural model:
```
Hg4Se3
1.0
5.8090 0.0000 0.0000
0.0000 5.8090 0.0000
0.0000 0.0000 5.8090
Hg Se
4 3
Cartesian
0.0000 0.0000 0.0000 Hg
0.0000 2.9045 2.9045 Hg
2.9045 0.0000 2.9045 Hg
2.9045 2.9045 0.0000 Hg
0.0000 0.0000 2.9045 Se
0.0000 2.9045 0.0000 Se
2.9045 0.0000 0.0000 Se
```

Largest 10 diffraction maxima, in order of rising 2θ, 5° ≤ 2θ ≤ 70°:
2θ (°)	d (Å)	I/Imax
15.25	5.809	3
21.64	4.108	3
26.58	3.354	55
30.78	2.904	100
34.53	2.598	2
37.94	2.372	1
44.09	2.054	76
52.23	1.751	28
54.74	1.677	27
64.13	1.452	13

[4]
For KMg6Sn2, DFT lattice parameters and positions (GGA-PBE) gives the calculated powder X-ray diffraction pattern in this record (CuKα).

Structural model:
```
KMg6Sn2
1.0
4.8115 0.0000 0.0000
0.0000 4.8115 0.0000
0.0000 0.0000 10.4608
K Mg Sn
1 6 2
Cartesian
0.0000 0.0000 0.0000 K
0.0000 0.0000 5.2304 Mg
0.0000 2.4058 3.1515 Mg
0.0000 2.4058 7.3093 Mg
2.4058 0.0000 3.1515 Mg
2.4058 0.0000 7.3093 Mg
2.4058 2.4058 5.2304 Mg
2.4058 2.4058 1.4824 Sn
2.4058 2.4058 8.9784 Sn
```

Largest 10 diffraction maxima, in order of rising 2θ, 5° ≤ 2θ ≤ 70°:
2θ (°)	d (Å)	I/Imax
8.45	10.461	75
18.44	4.812	100
20.32	4.371	48
26.19	3.402	59
27.57	3.235	59
31.69	2.823	90
36.91	2.435	88
37.38	2.406	83
39.21	2.298	52
49.80	1.831	51

[5]
For La3Pr3Zn2Ga, DFT lattice parameters and positions (GGA-PBE) gives the calculated powder X-ray diffraction pattern in this record (CuKα).

Structural model:
```
La3Pr3Zn2Ga
1.0
8.1957 0.0000 0.0000
-4.0978 7.0976 0.0000
0.0000 0.0000 4.5820
La Pr Zn Ga
3 3 2 1
Cartesian
-2.9828 5.1664 0.0000 La
1.1150 1.9313 0.0000 La
5.9656 0.0000 0.0000 La
-1.6509 2.8595 2.2910 Pr
3.3018 0.0000 2.2910 Pr
2.4469 4.2382 2.2910 Pr
0.0000 4.7318 0.0000 Zn
4.0978 2.3659 0.0000 Zn
0.0000 0.0000 2.2910 Ga
```

Largest 10 diffraction maxima, in order of rising 2θ, 5° ≤ 2θ ≤ 70°:
2θ (°)	d (Å)	I/Imax
29.24	3.054	100
31.90	2.806	56
33.40	2.683	35
38.03	2.366	31
38.90	2.315	11
39.33	2.291	22
50.46	1.809	12
52.53	1.742	19
55.86	1.646	20
60.32	1.534	25

[6]
For Tb2Er5Tm4, DFT lattice parameters and positions (GGA-PBE) gives the calculated powder X-ray diffraction pattern in this record (CuKα).

Structural model:
```
Tb2Er5Tm4
1.0
3.5050 0.0000 0.0000
-1.7458 7.6325 0.0000
-1.7401 -0.4022 12.4744
Tb Er Tm
2 5 4
Cartesian
0.0053 2.0102 2.2716 Tb
0.0138 5.2201 10.2029 Tb
0.0074 1.2112 5.6750 Er
0.0084 0.4085 9.0664 Er
1.7525 0.0000 0.0000 Er
0.0106 6.8218 3.4080 Er
0.0117 6.0191 6.7994 Er
-1.7416 3.2101 7.9371 Tm
-1.7394 2.4088 11.3413 Tm
1.7585 4.8215 1.1331 Tm
1.7607 4.0202 4.5374 Tm
```

Largest 8 diffraction maxima, in order of rising 2θ, 5° ≤ 2θ ≤ 70°:
2θ (°)	d (Å)	I/Imax
31.29	2.858	100
36.29	2.475	51
52.23	1.751	24
52.33	1.748	12
62.15	1.494	25
62.24	1.492	18
65.22	1.430	6
65.35	1.428	6

[7]
For CeCuNi, DFT lattice parameters and positions (GGA-PBE) gives the calculated powder X-ray diffraction pattern in this record (CuKα).

Structural model:
```
CeCuNi
1.0
4.6378 -1.9869 0.0000
4.6378 1.9869 0.0000
-3.7939 0.0000 5.7109
Ce Cu Ni
2 2 2
Cartesian
-0.5865 0.0000 1.6919 Ce
6.0682 0.0000 4.0190 Ce
-0.5476 0.0000 5.3034 Cu
6.0293 0.0000 0.4075 Cu
2.0088 0.0000 1.8502 Ni
3.4729 0.0000 3.8607 Ni
```

Largest 10 diffraction maxima, in order of rising 2θ, 5° ≤ 2θ ≤ 70°:
2θ (°)	d (Å)	I/Imax
25.20	3.534	18
31.33	2.855	17
33.01	2.713	31
35.05	2.560	100
37.01	2.429	42
38.87	2.317	21
39.27	2.294	17
41.80	2.161	46
44.67	2.029	21
45.66	1.987	35

[8]
For Tb3NdHo7, DFT lattice parameters and positions (GGA-PBE) gives the calculated powder X-ray diffraction pattern in this record (CuKα).

Structural model:
```
Tb3NdHo7
1.0
7.0373 0.0000 0.0000
-3.5187 6.0945 0.0000
0.0000 0.0000 8.5968
Tb Nd Ho
3 1 7
Cartesian
0.0000 2.0378 0.0000 Tb
-1.7539 5.0756 0.0000 Tb
1.7539 5.0756 0.0000 Tb
0.0000 0.0000 5.6893 Nd
-1.7471 3.0543 5.7012 Ho
1.7501 1.0104 2.8569 Ho
0.0000 4.0630 2.8793 Ho
1.7471 3.0543 5.7012 Ho
0.0000 6.0803 5.7012 Ho
5.2872 1.0104 2.8569 Ho
3.5187 4.0736 2.8569 Ho
```

Largest 10 diffraction maxima, in order of rising 2θ, 5° ≤ 2θ ≤ 70°:
2θ (°)	d (Å)	I/Imax
10.29	8.597	3
14.53	6.094	4
17.84	4.972	5
25.34	3.515	3
31.16	2.871	100
36.13	2.486	51
52.02	1.758	36
61.87	1.500	32
61.97	1.497	11
64.94	1.436	9